No. 1
Simulated powder XRD pattern
Compound: DyBiBr6
Radiation: λ = 1.5418 Å (Cu Kα)
Structure: the GGA-PBE geometry in OQMD
Intensities are scaled so that the largest is 1000.

Principal peaks in the range 2θ = 10–90°, in order of falling intensity:
2θ = 30.7°, d 2.913, rel. 1000
2θ = 13.4°, d 6.619, rel. 694
2θ = 43.4°, d 2.086, rel. 557
2θ = 30.4°, d 2.936, rel. 511
2θ = 25.1°, d 3.554, rel. 447
2θ = 44.1°, d 2.052, rel. 364

Structural model:
```
8
Lattice="3.610 -6.262 0.000 3.610 6.262 0.000 -2.488 0.000 6.619" Properties=species:S:1:pos:R:3 pbc="T T T"
Dy 0.000 0.000 0.000
Bi 3.610 2.096 0.000
Br 1.221 1.942 1.627
Br -0.192 0.099 4.994
Br 1.087 -2.029 1.621
Br 3.511 1.942 4.992
Br 4.923 0.099 1.625
Br 3.645 -2.029 4.998
```



No. 2
Simulated powder XRD pattern
Compound: FeIrOs2
Radiation: λ = 1.5418 Å (Cu Kα)
Structure: the GGA-PBE geometry in OQMD
Intensities are scaled so that the largest is 1000.

Principal peaks in the range 2θ = 10–90°, in order of falling intensity:
2θ = 42.3°, d 2.139, rel. 1000
2θ = 77.3°, d 1.235, rel. 343
2θ = 61.3°, d 1.512, rel. 167
2θ = 25.5°, d 3.493, rel. 103
2θ = 29.5°, d 3.025, rel. 56
2θ = 50.0°, d 1.824, rel. 54

Structural model:
```
4
Lattice="0.000 3.025 3.025 3.025 0.000 3.025 3.025 3.025 0.000" Properties=species:S:1:pos:R:3 pbc="T T T"
Fe 0.000 0.000 0.000
Ir 1.512 1.512 1.512
Os 3.025 3.025 3.025
Os 4.537 4.537 4.537
```



No. 3
Simulated powder XRD pattern
Compound: ErNiB4
Radiation: λ = 1.5418 Å (Cu Kα)
Structure: the GGA-PBE geometry in OQMD
Intensities are scaled so that the largest is 1000.

Principal peaks in the range 2θ = 10–90°, in order of falling intensity:
2θ = 40.1°, d 2.248, rel. 1000
2θ = 31.9°, d 2.809, rel. 865
2θ = 23.7°, d 3.749, rel. 786
2θ = 33.9°, d 2.648, rel. 503
2θ = 48.6°, d 1.874, rel. 423
2θ = 59.3°, d 1.559, rel. 269

Structural model:
```
24
Lattice="-3.749 3.749 4.241 3.749 -3.749 4.241 3.749 3.749 -4.241" Properties=species:S:1:pos:R:3 pbc="T T T"
Er 0.000 0.000 1.720
Er 3.749 0.000 2.121
Er 0.000 3.749 2.121
Er 0.000 0.000 6.762
Ni 3.749 2.030 0.000
Ni 2.030 3.749 0.000
Ni 1.719 0.000 4.241
Ni 0.000 1.719 4.241
B 2.065 0.833 0.000
B 5.434 0.833 0.000
B 2.001 2.001 -1.298
B 1.748 -1.748 2.943
B 0.833 2.065 0.000
B 2.916 -1.684 4.241
B 2.001 2.001 1.298
B 1.748 -1.748 5.539
B -1.748 1.748 2.943
B 1.748 1.748 2.943
B 0.833 5.434 0.000
B 2.916 1.684 4.241
B -1.748 1.748 5.539
B 1.748 1.748 5.539
B -1.684 2.916 4.241
B 1.684 2.916 4.241
```



No. 4
Simulated powder XRD pattern
Compound: Li8PaO6
Radiation: λ = 1.5418 Å (Cu Kα)
Structure: the GGA-PBE geometry in OQMD
Intensities are scaled so that the largest is 1000.

Principal peaks in the range 2θ = 10–90°, in order of falling intensity:
2θ = 19.1°, d 4.651, rel. 1000
2θ = 21.4°, d 4.159, rel. 815
2θ = 36.1°, d 2.486, rel. 573
2θ = 46.9°, d 1.939, rel. 433
2θ = 16.5°, d 5.363, rel. 409
2θ = 28.8°, d 3.098, rel. 361

Structural model:
```
15
Lattice="2.805 1.620 5.363 -2.805 1.620 5.363 0.000 -3.239 5.363" Properties=species:S:1:pos:R:3 pbc="T T T"
Li -1.093 -1.717 6.036
Li 0.000 0.000 2.413
Li -2.033 0.088 10.054
Li -0.941 1.805 6.036
Li 0.941 -1.805 10.054
Li 2.033 -0.088 6.036
Li 0.000 0.000 13.678
Li 1.093 1.717 10.054
Pa 0.000 0.000 8.045
O -1.823 0.056 6.663
O -0.960 -1.551 9.427
O 0.863 -1.607 6.663
O -0.863 1.607 9.427
O 0.960 1.551 6.663
O 1.823 -0.056 9.427
```



No. 5
Simulated powder XRD pattern
Compound: Zr4Sc2Au3C3
Radiation: λ = 1.5418 Å (Cu Kα)
Structure: the GGA-PBE geometry in OQMD
Intensities are scaled so that the largest is 1000.

Principal peaks in the range 2θ = 10–90°, in order of falling intensity:
2θ = 36.4°, d 2.466, rel. 1000
2θ = 12.6°, d 7.048, rel. 296
2θ = 30.9°, d 2.897, rel. 230
2θ = 54.9°, d 1.673, rel. 208
2θ = 68.9°, d 1.363, rel. 184
2θ = 38.3°, d 2.349, rel. 180

Structural model:
```
24
Lattice="5.016 -2.899 0.000 5.016 2.899 0.000 -3.357 0.000 14.095" Properties=species:S:1:pos:R:3 pbc="T T T"
Zr 0.836 0.495 1.289
Zr 0.841 0.474 5.761
Zr -0.843 -0.495 8.336
Zr -0.837 -0.474 12.809
Zr 7.513 0.474 1.286
Zr 7.518 0.495 5.759
Zr 5.834 -0.474 8.334
Zr 5.840 -0.495 12.806
Sc 4.194 0.477 1.247
Sc 4.160 0.477 5.801
Sc 2.516 -0.477 8.294
Sc 2.481 -0.477 12.848
Au 4.177 2.317 3.524
Au 0.914 0.436 10.570
Au 2.593 -0.436 3.523
Au 4.083 0.436 10.572
Au 5.761 -0.436 3.525
Au 2.498 -2.317 10.571
C 2.508 1.449 0.000
C 2.475 1.495 7.050
C 2.522 1.495 14.092
C 0.830 -1.449 7.048
C 4.153 -1.495 0.003
C 4.201 -1.495 7.045
```



No. 6
Simulated powder XRD pattern
Compound: Ir3N
Radiation: λ = 1.5418 Å (Cu Kα)
Structure: the GGA-PBE geometry in OQMD
Intensities are scaled so that the largest is 1000.

Principal peaks in the range 2θ = 10–90°, in order of falling intensity:
2θ = 44.7°, d 2.029, rel. 1000
2θ = 37.5°, d 2.395, rel. 417
2θ = 39.4°, d 2.286, rel. 407
2θ = 35.3°, d 2.546, rel. 317
2θ = 73.5°, d 1.288, rel. 265
2θ = 67.8°, d 1.383, rel. 234

Structural model:
```
4
Lattice="2.766 0.000 0.000 -1.383 2.395 0.000 0.000 0.000 7.638" Properties=species:S:1:pos:R:3 pbc="T T T"
Ir 0.000 0.000 0.000
Ir 0.000 1.597 2.246
Ir 0.000 1.597 5.391
N 0.000 0.000 3.819
```



No. 7
Simulated powder XRD pattern
Compound: Lu2ReIr3
Radiation: λ = 1.5418 Å (Cu Kα)
Structure: the GGA-PBE geometry in OQMD
Intensities are scaled so that the largest is 1000.

Principal peaks in the range 2θ = 10–90°, in order of falling intensity:
2θ = 39.7°, d 2.272, rel. 1000
2θ = 40.0°, d 2.255, rel. 955
2θ = 37.5°, d 2.399, rel. 634
2θ = 69.5°, d 1.352, rel. 412
2θ = 68.9°, d 1.363, rel. 312
2θ = 62.1°, d 1.495, rel. 259

Structural model:
```
12
Lattice="5.408 0.000 0.000 -2.704 4.683 0.000 0.000 0.000 8.379" Properties=species:S:1:pos:R:3 pbc="T T T"
Lu 0.000 3.122 0.531
Lu 0.000 3.122 3.658
Lu 2.704 1.561 4.721
Lu 2.704 1.561 7.848
Re 0.000 0.000 0.000
Re 0.000 0.000 4.190
Ir 0.000 1.598 6.285
Ir -1.320 3.884 6.285
Ir 1.384 0.799 2.095
Ir 1.320 3.884 6.285
Ir 4.024 0.799 2.095
Ir 2.704 3.085 2.095
```



No. 8
Simulated powder XRD pattern
Compound: Zn7Au3
Radiation: λ = 1.5418 Å (Cu Kα)
Structure: the GGA-PBE geometry in OQMD
Intensities are scaled so that the largest is 1000.

Principal peaks in the range 2θ = 10–90°, in order of falling intensity:
2θ = 41.0°, d 2.200, rel. 1000
2θ = 41.2°, d 2.189, rel. 809
2θ = 34.1°, d 2.632, rel. 283
2θ = 25.9°, d 3.434, rel. 273
2θ = 46.9°, d 1.938, rel. 251
2θ = 39.3°, d 2.294, rel. 197

Structural model:
```
60
Lattice="11.584 0.000 0.000 -5.792 10.032 0.000 0.000 0.000 8.102" Properties=species:S:1:pos:R:3 pbc="T T T"
Zn 0.000 0.000 0.000
Zn 0.000 0.000 4.051
Zn -4.168 7.938 0.635
Zn -4.066 7.991 3.450
Zn -2.655 6.315 7.071
Zn -2.485 6.261 1.734
Zn -1.110 4.193 2.943
Zn -0.805 4.220 5.750
Zn 0.905 2.515 3.450
Zn 1.001 2.454 0.635
Zn 2.626 0.360 7.467
Zn 2.630 0.474 4.651
Zn -1.735 8.619 5.750
Zn -1.606 8.897 2.943
Zn 0.000 6.688 2.569
Zn 0.000 6.688 6.440
Zn 1.651 4.576 7.071
Zn 1.612 4.750 1.734
Zn 3.076 3.057 5.159
Zn 3.253 2.807 2.352
Zn 4.788 0.858 1.030
Zn 4.920 0.979 6.368
Zn 0.872 9.053 1.734
Zn 1.004 9.174 7.071
Zn 2.539 7.225 5.750
Zn 2.716 6.975 2.943
Zn 4.180 5.282 6.368
Zn 4.141 5.456 1.030
Zn 5.792 3.344 1.662
Zn 5.792 3.344 5.532
Zn 7.398 1.135 5.159
Zn 7.527 1.413 2.352
Zn 3.162 9.558 3.450
Zn 3.166 9.673 0.635
Zn 4.791 7.578 7.467
Zn 4.888 7.517 4.651
Zn 6.597 5.812 2.352
Zn 6.902 5.839 5.159
Zn 8.277 3.771 6.368
Zn 8.447 3.718 1.030
Zn 9.858 2.041 4.651
Zn 9.960 2.094 7.467
Au -4.541 8.450 6.080
Au -2.044 6.334 4.401
Au 0.745 1.874 6.080
Au -0.708 4.734 0.311
Au 1.996 0.292 2.022
Au -1.338 8.279 0.311
Au 1.329 5.095 4.401
Au 3.746 2.981 7.791
Au 0.715 8.636 4.401
Au 5.077 1.397 3.700
Au 2.046 7.052 0.311
Au 4.463 4.937 3.700
Au 7.130 1.754 7.791
Au 3.796 9.740 6.080
Au 6.500 5.298 7.791
Au 5.047 8.158 2.022
Au 7.836 3.698 3.700
Au 10.333 1.583 2.022
```